For Ho2AgHg5, DFT lattice parameters and positions (PBE) gives the calculated powder XRD pattern in this record (Cu Kα X-rays).
Lines closer than 0.1° are merged.

Principal peaks in the range 2θ from 10° to 80°, low angle first:
2theta	I_rel	hkl
18.34	1.9	1 0 1
24.46	1.5	1 1 0
34.87	52.1	2 0 0
35.32	100.0	1 1 4
50.14	18.8	2 2 0
51.49	8.5	0 0 8
62.82	38.2	3 1 4
63.70	18.0	2 0 8
73.63	6.1	4 0 0
74.72	11.4	2 2 8

Cell and atoms:
Cell lengths 5.1458, 5.1458, 14.1988 Å; angles 90.00, 90.00, 90.00 degrees
Space group I4/mmm (No. 139)
One atom of each set of equivalent atoms:
Ho 0.0000 0.0000 0.2482 [4 per cell]
Ag 0.0000 0.0000 0.5000 [2 per cell]
Hg 0.0000 0.0000 0.0000 [2 per cell]
Hg 0.0000 0.5000 0.1209 [8 per cell]